# MgCr2AgO8
Calculated powder XRD pattern, CuKα. Input: a DFT-relaxed cell (PBE+U, Alexandria).

The 8 most intense peaks (2θ = 10–90°), sorted by position:
2θ (°)  d [Å]  I (rel.)
14.52  6.100  59
18.23  4.868  43
23.38  3.805  100
31.84  2.810  96
34.71  2.585  61
35.16  2.552  60
47.81  1.902  48
58.60  1.575  26

Crystal structure
Lattice parameters (Å, degrees): 5.6207 5.6207 6.0999 90.00 90.00 120.00
Space group P-3m1 (No. 164)
Unique sites:
Mg: 0.0000 0.0000 0.0000 x1
Cr: 0.3333 0.6667 0.2995 x2
Ag: 0.0000 0.0000 0.5000 x1
O: 0.1675 0.3350 0.2158 x6
O: 0.3333 0.6667 0.5632 x2